(1)
Starting from a crystal structure in OQMD, relaxed with PBE, the X-ray powder pattern of SmDyNi2B2N2 was computed for Cu Ka.
Peak positions follow from Bragg's law for the DFT cell and can differ from measured ones.

Crystal structure
```
data_SmDyNi2B2N2
_chemical_formula_sum 'Sm1 Dy1 Ni2 B2 N2'
_symmetry_space_group_name_H-M 'P 4 m m'
_symmetry_Int_Tables_number 99
_symmetry_space_group_name_Hall 'P 4 -2'
_cell_length_a 3.525
_cell_length_b 3.525
_cell_length_c 7.521
_cell_angle_alpha 90.00
_cell_angle_beta 90.00
_cell_angle_gamma 90.00
loop_
_atom_site_label
_atom_site_fract_x
_atom_site_fract_y
_atom_site_fract_z
Sm1 0.000 0.000 0.000
Dy1 0.500 0.500 0.338
Ni1 0.000 0.500 0.669
B1 0.000 0.000 0.511
B2 0.500 0.500 0.828
N1 0.000 0.000 0.317
N2 0.500 0.500 0.022
```

Largest 10 diffraction maxima, in order of rising 2θ, 10° ≤ 2θ ≤ 90°:
d [Å], I/Imax, index
3.192, 100, 1 0 1
2.572, 66, 1 0 2
2.507, 49, 0 0 3
2.492, 23, 1 1 0
2.366, 69, 1 1 1
2.078, 52, 1 1 2
1.762, 38, 2 0 0
1.543, 26, 2 1 1
1.454, 24, 2 1 2
1.442, 34, 2 0 3

(2)
Starting from a crystal structure in OQMD, relaxed with PBE, the X-ray powder pattern of Sm2Co5B2 was computed for Cu Ka.
Peak positions follow from Bragg's law for the DFT cell and can differ from measured ones.

Crystal structure
```
data_Sm2Co5B2
_chemical_formula_sum 'Sm8 Co20 B8'
_symmetry_space_group_name_H-M 'P 63/m m c'
_symmetry_Int_Tables_number 194
_symmetry_space_group_name_Hall '-P 6c 2c'
_cell_length_a 5.1122
_cell_length_b 5.1122
_cell_length_c 20.0466
_cell_angle_alpha 90.00
_cell_angle_beta 90.00
_cell_angle_gamma 120.00
loop_
_atom_site_label
_atom_site_fract_x
_atom_site_fract_y
_atom_site_fract_z
Sm1 0.3333 0.6667 0.0221
Sm2 0.3333 0.6667 0.1749
Co1 0.0000 0.0000 0.0000
Co2 0.1617 0.3234 0.6069
Co3 0.1676 0.3352 0.7500
B1 0.0000 0.0000 0.1780
B2 0.3333 0.6667 0.6748
```

Largest 10 diffraction maxima, in order of rising 2θ, 10° ≤ 2θ ≤ 90°:
d [Å], I/Imax, index
4.323, 21, 1 0 1
2.667, 23, 1 0 6
2.556, 41, 1 1 0
2.405, 100, 1 0 7
2.214, 27, 2 0 0
2.200, 78, 2 0 1
2.030, 82, 1 1 6
1.445, 42, 2 1 7
1.278, 27, 2 2 0
1.265, 24, 2 0 13

(3)
Starting from a crystal structure in OQMD, relaxed with PBE, the X-ray powder pattern of FeNi2Te was computed for Cu Ka.
Peak positions follow from Bragg's law for the DFT cell and can differ from measured ones.

Crystal structure
```
data_FeNi2Te
_chemical_formula_sum 'Fe4 Ni8 Te4'
_symmetry_space_group_name_H-M 'F -4 3 m'
_symmetry_Int_Tables_number 216
_symmetry_space_group_name_Hall 'F -4 2 3'
_cell_length_a 5.995
_cell_length_b 5.995
_cell_length_c 5.995
_cell_angle_alpha 90.00
_cell_angle_beta 90.00
_cell_angle_gamma 90.00
loop_
_atom_site_label
_atom_site_fract_x
_atom_site_fract_y
_atom_site_fract_z
Fe1 0.000 0.000 0.000
Ni1 0.000 0.000 0.500
Ni2 0.250 0.250 0.250
Te1 0.250 0.250 0.750
```

Largest 10 diffraction maxima, in order of rising 2θ, 10° ≤ 2θ ≤ 90°:
d [Å], I/Imax, index
3.461, 9, 1 1 1
2.998, 6, 2 0 0
2.120, 100, 2 2 0
1.808, 5, 3 1 1
1.731, 2, 2 2 2
1.499, 16, 4 0 0
1.375, 2, 3 3 1
1.341, 2, 4 2 0
1.224, 31, 4 2 2
1.154, 2, 5 1 1

(4)
Starting from a crystal structure in OQMD, relaxed with PBE, the X-ray powder pattern of Hf3TlCN was computed for Cu Ka.
Peak positions follow from Bragg's law for the DFT cell and can differ from measured ones.

Crystal structure
```
data_Hf3TlCN
_chemical_formula_sum 'Hf6 Tl2 C2 N2'
_symmetry_space_group_name_H-M 'P -3 m 1'
_symmetry_Int_Tables_number 164
_symmetry_space_group_name_Hall '-P 3 2"'
_cell_length_a 3.2992
_cell_length_b 3.2992
_cell_length_c 19.9332
_cell_angle_alpha 90.00
_cell_angle_beta 90.00
_cell_angle_gamma 120.00
loop_
_atom_site_label
_atom_site_fract_x
_atom_site_fract_y
_atom_site_fract_z
Hf1 0.0000 0.0000 0.0000
Hf2 0.0000 0.0000 0.5000
Hf3 0.3333 0.6667 0.1248
Hf4 0.3333 0.6667 0.3730
Tl1 0.0000 0.0000 0.2478
C1 0.3333 0.6667 0.5696
N1 0.3333 0.6667 0.9353
```

Largest 10 diffraction maxima, in order of rising 2θ, 10° ≤ 2θ ≤ 90°:
d [Å], I/Imax, index
2.857, 8, 1 0 0
2.828, 20, 0 1 1
2.625, 14, 1 0 3
2.492, 27, 0 0 8
2.479, 100, 0 1 4
2.322, 16, 1 0 5
1.650, 27, 1 1 0
1.436, 18, 0 1 12
1.375, 27, 1 1 8
1.373, 16, 2 0 4